This entry pairs a crystal structure of AcV4Cd3O12 with its theoretical powder diffraction line list. Radiation: Cu Kα X-rays. Structure: the PBE+U geometry in Alexandria.

Structural model:
Lattice parameters (Å, degrees): 7.2144 7.2144 7.2144 105.97 105.97 105.97
Atoms (fractional coordinates):
1 Ac 0.0000 0.0000 0.0000
2 V 0.0574 0.5000 0.9426
3 V 0.5000 0.5000 0.5000
4 V 0.5000 0.9426 0.0574
5 V 0.9426 0.0574 0.5000
6 Cd 0.0000 0.5553 0.4447
7 Cd 0.4447 0.0000 0.5553
8 Cd 0.5553 0.4447 0.0000
9 O 0.0318 0.6608 0.7934
10 O 0.0935 0.9065 0.5000
11 O 0.2066 0.3392 0.9682
12 O 0.3392 0.9682 0.2066
13 O 0.3486 0.6514 0.5000
14 O 0.5000 0.0935 0.9065
15 O 0.5000 0.3486 0.6514
16 O 0.6514 0.5000 0.3486
17 O 0.6608 0.7934 0.0318
18 O 0.7934 0.0318 0.6608
19 O 0.9065 0.5000 0.0935
20 O 0.9682 0.2066 0.3392

Largest 10 diffraction maxima, by intensity, 10 to 90 degrees two-theta:
2θ (°), Rel. int.
27.81, 100
20.72, 37
31.05, 36
25.91, 28
45.18, 26
47.05, 23
34.12, 20
42.18, 20
53.32, 18
57.70, 17